Record 1
The following is a theoretical powder X-ray diffraction pattern of Ba2InPb. It was derived from DFT lattice parameters and positions (GGA-PBE), using a wavelength of 1.5418 Å.
Neutral-atom scattering factors, no anomalous dispersion.

The 10 most intense peaks (10 to 90 degrees two-theta), by intensity:
25.75°, d = 3.459 Å, intensity 100, hkl 1 1 1
32.24°, d = 2.777 Å, intensity 97, hkl 1 1 -3
32.72°, d = 2.737 Å, intensity 36, hkl 2 1 -2
34.30°, d = 2.615 Å, intensity 35, hkl 1 0 3
26.51°, d = 3.362 Å, intensity 33, hkl 1 0 -3
36.48°, d = 2.463 Å, intensity 29, hkl 0 2 0
48.13°, d = 1.891 Å, intensity 25, hkl 3 1 1
50.94°, d = 1.793 Å, intensity 22, hkl 1 2 3
13.45°, d = 6.583 Å, intensity 22, hkl 1 0 -1
64.88°, d = 1.437 Å, intensity 22, hkl 4 2 -2

Structure:
```
data_Ba2InPb
_chemical_formula_sum 'Ba4 In2 Pb2'
_cell_length_a 7.080
_cell_length_b 4.926
_cell_length_c 10.247
_cell_angle_alpha 90.00
_cell_angle_beta 108.38
_cell_angle_gamma 90.00
_symmetry_space_group_name_H-M 'P 1 21/m 1'
_symmetry_Int_Tables_number 11
loop_
_symmetry_equiv_pos_as_xyz
'x,y,z'
'-x,-y,-z'
'-x,y+1/2,-z'
'x,-y+1/2,z'
loop_
_atom_site_label
_atom_site_fract_x
_atom_site_fract_y
_atom_site_fract_z
_atom_site_occupancy
Ba1 0.207 0.250 0.431 1
Ba2 0.292 0.750 0.068 1
In1 0.142 0.250 0.785 1
Pb1 0.361 0.750 0.714 1
```

---

Record 2
The following is a theoretical powder X-ray diffraction pattern of P4S3. It was derived from DFT lattice parameters and positions (GGA-PBE), using a wavelength of 1.5418 Å.
Neutral-atom scattering factors, no anomalous dispersion.

The 10 most intense peaks (10 to 90 degrees two-theta), by intensity:
14.47°, d = 6.119 Å, intensity 100, hkl 1 0 1
16.34°, d = 5.424 Å, intensity 59, hkl 0 2 0
17.00°, d = 5.217 Å, intensity 55, hkl 2 1 0
16.63°, d = 5.330 Å, intensity 40, hkl 1 1 1
22.18°, d = 4.009 Å, intensity 25, hkl 2 2 0
29.19°, d = 3.060 Å, intensity 24, hkl 2 0 2
38.59°, d = 2.333 Å, intensity 22, hkl 2 4 1
48.34°, d = 1.883 Å, intensity 20, hkl 6 1 1
27.66°, d = 3.226 Å, intensity 19, hkl 0 3 1
21.90°, d = 4.059 Å, intensity 19, hkl 1 2 1

Structure:
```
data_P4S3
_chemical_formula_sum 'P16 S12'
_cell_length_a 11.900
_cell_length_b 10.849
_cell_length_c 7.135
_cell_angle_alpha 90.00
_cell_angle_beta 90.00
_cell_angle_gamma 90.00
_symmetry_space_group_name_H-M 'P n m a'
_symmetry_Int_Tables_number 62
loop_
_symmetry_equiv_pos_as_xyz
'x,y,z'
'-x,-y,-z'
'-x+1/2,-y,z+1/2'
'x+1/2,y,-z+1/2'
'x+1/2,-y+1/2,-z+1/2'
'-x+1/2,y+1/2,z+1/2'
'-x,y+1/2,-z'
'x,-y+1/2,z'
loop_
_atom_site_label
_atom_site_fract_x
_atom_site_fract_y
_atom_site_fract_z
_atom_site_occupancy
P1 0.067 0.250 0.097 1
P2 0.071 0.646 0.754 1
P3 0.164 0.750 0.160 1
S1 0.014 0.250 0.817 1
S2 0.184 0.601 0.971 1
```

---

Record 3
The following is a theoretical powder X-ray diffraction pattern of PuAuI6. It was derived from DFT lattice parameters and positions (GGA-PBE), using a wavelength of 1.5418 Å.
Neutral-atom scattering factors, no anomalous dispersion.

The 10 most intense peaks (10 to 90 degrees two-theta), by intensity:
11.92°, d = 7.427 Å, intensity 100, hkl 0 0 1
12.79°, d = 6.923 Å, intensity 74, hkl 1 0 0
29.45°, d = 3.033 Å, intensity 36, hkl 1 2 0
23.27°, d = 3.822 Å, intensity 36, hkl 1 -1 1
15.38°, d = 5.761 Å, intensity 32, hkl 1 0 1
28.53°, d = 3.128 Å, intensity 23, hkl -1 2 1
33.42°, d = 2.682 Å, intensity 23, hkl 2 2 1
34.94°, d = 2.568 Å, intensity 20, hkl 0 2 3
39.42°, d = 2.286 Å, intensity 19, hkl 2 0 -2
35.62°, d = 2.520 Å, intensity 19, hkl 1 0 3

Structure:
```
data_PuAuI6
_chemical_formula_sum 'Pu1 Au1 I6'
_cell_length_a 7.148
_cell_length_b 7.461
_cell_length_c 8.427
_cell_angle_alpha 64.84
_cell_angle_beta 75.60
_cell_angle_gamma 84.11
_symmetry_space_group_name_H-M 'P -1'
_symmetry_Int_Tables_number 2
loop_
_symmetry_equiv_pos_as_xyz
'x,y,z'
'-x,-y,-z'
loop_
_atom_site_label
_atom_site_fract_x
_atom_site_fract_y
_atom_site_fract_z
_atom_site_occupancy
Pu1 0.000 0.000 0.000 1
Au1 0.000 0.500 0.000 1
I1 0.156 0.408 0.713 1
I2 0.215 0.011 0.257 1
I3 0.324 0.744 0.888 1
```

---

Record 4
The following is a theoretical powder X-ray diffraction pattern of La5Sm2Tm5. It was derived from DFT lattice parameters and positions (GGA-PBE), using a wavelength of 1.5418 Å.
Neutral-atom scattering factors, no anomalous dispersion.

The 10 most intense peaks (10 to 90 degrees two-theta), by intensity:
30.25°, d = 2.955 Å, intensity 100, hkl 3 1 1
50.41°, d = 1.810 Å, intensity 18, hkl 6 0 2
34.87°, d = 2.573 Å, intensity 17, hkl 6 0 -2
35.09°, d = 2.558 Å, intensity 17, hkl 0 0 4
35.25°, d = 2.546 Å, intensity 17, hkl 0 2 0
59.69°, d = 1.549 Å, intensity 15, hkl 9 1 -1
59.97°, d = 1.543 Å, intensity 14, hkl 3 1 5
60.19°, d = 1.537 Å, intensity 14, hkl 3 3 1
50.58°, d = 1.804 Å, intensity 12, hkl 0 2 4
62.85°, d = 1.479 Å, intensity 6, hkl 6 2 -6

Structure:
```
data_La5Sm2Tm5
_chemical_formula_sum 'La10 Sm4 Tm10'
_cell_length_a 15.437
_cell_length_b 5.092
_cell_length_c 11.465
_cell_angle_alpha 90.00
_cell_angle_beta 116.83
_cell_angle_gamma 90.00
_symmetry_space_group_name_H-M 'C 1 2/m 1'
_symmetry_Int_Tables_number 12
loop_
_symmetry_equiv_pos_as_xyz
'x,y,z'
'-x,-y,-z'
'-x,y,-z'
'x,-y,z'
'x+1/2,y+1/2,z'
'-x+1/2,-y+1/2,-z'
'-x+1/2,y+1/2,-z'
'x+1/2,-y+1/2,z'
loop_
_atom_site_label
_atom_site_fract_x
_atom_site_fract_y
_atom_site_fract_z
_atom_site_occupancy
La1 0.000 0.000 0.000 1
La2 0.081 0.000 0.750 1
La3 0.248 0.000 0.250 1
Sm1 0.166 0.000 0.499 1
Tm1 0.000 0.500 0.500 1
Tm2 0.084 0.500 0.252 1
Tm3 0.167 0.500 0.000 1
```

---

Record 5
The following is a theoretical powder X-ray diffraction pattern of TlOsPb2. It was derived from DFT lattice parameters and positions (GGA-PBE), using a wavelength of 1.5418 Å.
Neutral-atom scattering factors, no anomalous dispersion.

The 10 most intense peaks (10 to 90 degrees two-theta), by intensity:
33.34°, d = 2.688 Å, intensity 100, hkl 1 0 2
37.87°, d = 2.376 Å, intensity 48, hkl 1 1 0
65.50°, d = 1.425 Å, intensity 22, hkl 1 2 2
40.41°, d = 2.232 Å, intensity 16, hkl 1 0 3
48.99°, d = 1.859 Å, intensity 13, hkl 1 1 3
29.92°, d = 2.986 Å, intensity 10, hkl 0 0 3
56.47°, d = 1.630 Å, intensity 9, hkl 1 1 4
54.56°, d = 1.682 Å, intensity 8, hkl 0 2 0
54.72°, d = 1.678 Å, intensity 8, hkl 2 0 0
28.37°, d = 3.146 Å, intensity 8, hkl 1 0 -1

Structure:
```
data_TlOsPb2
_chemical_formula_sum 'Tl1 Os1 Pb2'
_cell_length_a 3.355
_cell_length_b 3.364
_cell_length_c 8.959
_cell_angle_alpha 90.00
_cell_angle_beta 90.12
_cell_angle_gamma 90.00
_symmetry_space_group_name_H-M 'P 1 2/m 1'
_symmetry_Int_Tables_number 10
loop_
_symmetry_equiv_pos_as_xyz
'x,y,z'
'-x,-y,-z'
'-x,y,-z'
'x,-y,z'
loop_
_atom_site_label
_atom_site_fract_x
_atom_site_fract_y
_atom_site_fract_z
_atom_site_occupancy
Tl1 0.000 0.000 0.000 1
Os1 0.000 0.000 0.500 1
Pb1 0.500 0.500 0.309 1
```

---

Record 6
The following is a theoretical powder X-ray diffraction pattern of ScCo6. It was derived from DFT lattice parameters and positions (GGA-PBE), using a wavelength of 1.5418 Å.
Neutral-atom scattering factors, no anomalous dispersion.

The 10 most intense peaks (10 to 90 degrees two-theta), by intensity:
41.30°, d = 2.186 Å, intensity 100, hkl 3 1 1
48.48°, d = 1.878 Å, intensity 86, hkl 4 0 1
49.36°, d = 1.846 Å, intensity 42, hkl 1 2 3
46.23°, d = 1.964 Å, intensity 39, hkl 2 2 1
39.00°, d = 2.309 Å, intensity 34, hkl 1 0 4
38.23°, d = 2.354 Å, intensity 18, hkl 0 2 0
42.70°, d = 2.117 Å, intensity 16, hkl 0 2 2
49.17°, d = 1.853 Å, intensity 16, hkl 2 2 2
45.24°, d = 2.004 Å, intensity 15, hkl 2 2 0
71.19°, d = 1.324 Å, intensity 15, hkl 3 3 1

Structure:
```
data_ScCo6
_chemical_formula_sum 'Sc4 Co24'
_cell_length_a 7.658
_cell_length_b 4.709
_cell_length_c 9.688
_cell_angle_alpha 90.00
_cell_angle_beta 90.00
_cell_angle_gamma 90.00
_symmetry_space_group_name_H-M 'P n m a'
_symmetry_Int_Tables_number 62
loop_
_symmetry_equiv_pos_as_xyz
'x,y,z'
'-x,-y,-z'
'-x+1/2,-y,z+1/2'
'x+1/2,y,-z+1/2'
'x+1/2,-y+1/2,-z+1/2'
'-x+1/2,y+1/2,z+1/2'
'-x,y+1/2,-z'
'x,-y+1/2,z'
loop_
_atom_site_label
_atom_site_fract_x
_atom_site_fract_y
_atom_site_fract_z
_atom_site_occupancy
Sc1 0.240 0.250 0.060 1
Co1 0.063 0.750 0.085 1
Co2 0.069 0.011 0.308 1
Co3 0.094 0.250 0.523 1
Co4 0.137 0.750 0.852 1
Co5 0.184 0.250 0.756 1
```

---

Record 7
The following is a theoretical powder X-ray diffraction pattern of LiIn4Ir2. It was derived from DFT lattice parameters and positions (GGA-PBE), using a wavelength of 1.5418 Å.
Neutral-atom scattering factors, no anomalous dispersion.

The 10 most intense peaks (10 to 90 degrees two-theta), by intensity:
40.37°, d = 2.234 Å, intensity 100, hkl 1 1 0
40.83°, d = 2.210 Å, intensity 91, hkl 1 0 10
26.57°, d = 3.355 Å, intensity 72, hkl 1 0 4
19.78°, d = 4.488 Å, intensity 47, hkl 0 0 6
45.34°, d = 2.000 Å, intensity 33, hkl 1 1 6
73.71°, d = 1.285 Å, intensity 31, hkl 2 1 10
58.76°, d = 1.571 Å, intensity 31, hkl 0 2 10
32.83°, d = 2.728 Å, intensity 28, hkl 1 0 7
23.22°, d = 3.830 Å, intensity 24, hkl 1 0 1
73.40°, d = 1.290 Å, intensity 17, hkl 3 0 0

Structure:
```
data_LiIn4Ir2
_chemical_formula_sum 'Li3 In12 Ir6'
_cell_length_a 4.4684
_cell_length_b 4.4684
_cell_length_c 26.9270
_cell_angle_alpha 90.00
_cell_angle_beta 90.00
_cell_angle_gamma 120.00
_symmetry_space_group_name_H-M 'R -3 m'
_symmetry_Int_Tables_number 166
_symmetry_space_group_name_Hall '-R 3 2"'
loop_
_atom_site_label
_atom_site_fract_x
_atom_site_fract_y
_atom_site_fract_z
_atom_site_occupancy
Li1 0.0000 0.0000 0.0000 1
In1 0.0000 0.0000 0.1999 1
In2 0.0000 0.0000 0.3942 1
Ir1 0.0000 0.0000 0.0965 1
```

---

Record 8
The following is a theoretical powder X-ray diffraction pattern of Ba3CaBi2O9. It was derived from DFT lattice parameters and positions (GGA-PBE), using a wavelength of 1.5418 Å.
Neutral-atom scattering factors, no anomalous dispersion.

The 10 most intense peaks (10 to 90 degrees two-theta), by intensity:
28.97°, d = 3.082 Å, intensity 100, hkl 2 0 0
51.31°, d = 1.781 Å, intensity 28, hkl 1 2 9
41.37°, d = 2.182 Å, intensity 20, hkl 2 0 6
60.06°, d = 1.541 Å, intensity 16, hkl 4 0 0
51.41°, d = 1.777 Å, intensity 14, hkl 2 4 0
67.93°, d = 1.380 Å, intensity 12, hkl 3 2 9
82.84°, d = 1.165 Å, intensity 11, hkl 5 2 3
41.54°, d = 2.174 Å, intensity 10, hkl 0 4 0
17.62°, d = 5.034 Å, intensity 9, hkl 0 1 3
82.98°, d = 1.164 Å, intensity 7, hkl 3 6 3

Structure:
```
data_Ba3CaBi2O9
_chemical_formula_sum 'Ba12 Ca4 Bi8 O36'
_cell_length_a 6.167
_cell_length_b 8.696
_cell_length_c 18.533
_cell_angle_alpha 90.00
_cell_angle_beta 90.00
_cell_angle_gamma 90.00
_symmetry_space_group_name_H-M 'I m m m'
_symmetry_Int_Tables_number 71
_symmetry_space_group_name_Hall '-I 2 2'
loop_
_atom_site_label
_atom_site_fract_x
_atom_site_fract_y
_atom_site_fract_z
_atom_site_occupancy
Ba1 0.000 0.242 0.000 1
Ba2 0.000 0.252 0.332 1
Ca1 0.000 0.000 0.167 1
Bi1 0.000 0.000 0.500 1
Bi2 0.000 0.500 0.168 1
Bi3 0.000 0.500 0.500 1
O1 0.000 0.245 0.500 1
O2 0.000 0.262 0.159 1
O3 0.239 0.500 0.420 1
O4 0.245 0.000 0.419 1
O5 0.246 0.500 0.245 1
```